Diffraction record for MgTe2RuRh. The powder diffraction line list is theoretical, not measured: it uses a GGA-PBE-relaxed structure and λ = 1.5418 Å (Cu Kα).

Crystal structure
a b c (Å): 5.143 5.143 4.700
angles (deg): 90.00 90.00 90.00
Element x y z (fractional)
Mg 0.000 0.000 0.000
Te 0.000 0.500 0.500
Te 0.500 0.000 0.500
Ru 0.500 0.500 0.000
Rh 0.000 0.000 0.500

Peak list (10 most intense, 2θ from 15° to 90°, by angle)
2θ (°)	intensity	h k l
18.9	506	0 0 1
25.7	651	1 0 1
31.1	860	1 1 1
34.9	1000	2 0 0
38.3	386	0 0 2
40.0	296	2 0 1
43.8	302	2 1 1
50.2	351	2 2 0
52.8	603	2 0 2
64.8	421	2 2 2